This entry pairs a crystal structure of Ac2Zn5Rh3 with its computed X-ray powder pattern. Radiation: λ = 1.5418 Å (Cu Kα). Structure: a DFT-relaxed cell (PBE, Alexandria).
Intensities are scaled so that the largest is 100.

Largest 8 diffraction maxima, sorted by position, 2θ from 5° to 70°:
29.19°, I 20; 32.63°, I 100; 33.53°, I 76; 33.82°, I 77; 41.51°, I 79; 47.70°, I 43; 53.57°, I 25; 53.97°, I 24

Structure:
Cell: 8.669 8.669 8.669 Å, 104.56 90.20 138.18°
Atoms (fractional coordinates):
Ac 0.122 0.233 0.355
Ac 0.378 0.733 0.111
Ac 0.622 0.267 0.889
Ac 0.878 0.767 0.645
Zn 0.020 0.750 0.270
Zn 0.131 0.884 0.014
Zn 0.250 0.750 0.500
Zn 0.369 0.384 0.753
Zn 0.480 0.750 0.730
Zn 0.520 0.250 0.270
Zn 0.631 0.616 0.247
Zn 0.750 0.250 0.500
Zn 0.869 0.116 0.986
Zn 0.980 0.250 0.730
Rh 0.119 0.643 0.762
Rh 0.250 0.250 0.000
Rh 0.381 0.143 0.525
Rh 0.619 0.857 0.475
Rh 0.750 0.750 0.000
Rh 0.881 0.357 0.238

=====

This entry pairs a crystal structure of Ac3Zn5Rh6 with its computed X-ray powder pattern. Radiation: λ = 1.5418 Å (Cu Kα). Structure: a DFT-relaxed cell (PBE, Alexandria).
Intensities are scaled so that the largest is 100.

Largest 8 diffraction maxima, sorted by position, 2θ from 5° to 70°:
21.60°, I 23; 22.96°, I 15; 34.63°, I 100; 35.04°, I 29; 35.93°, I 27; 39.23°, I 39; 42.37°, I 18; 54.24°, I 17

Structure:
Cell: 8.224 8.224 8.224 Å, 147.57 111.52 77.82°
Atoms (fractional coordinates):
Ac 0.000 0.000 0.000
Ac 0.315 0.315 0.000
Ac 0.685 0.685 0.000
Zn 0.020 0.668 0.352
Zn 0.316 0.668 0.648
Zn 0.500 0.000 0.500
Zn 0.684 0.332 0.352
Zn 0.980 0.332 0.648
Rh 0.140 0.868 0.273
Rh 0.301 0.500 0.801
Rh 0.405 0.132 0.273
Rh 0.595 0.868 0.727
Rh 0.699 0.500 0.199
Rh 0.860 0.132 0.727

=====

This entry pairs a crystal structure of AcZn2Rh with its computed X-ray powder pattern. Radiation: λ = 1.5418 Å (Cu Kα). Structure: a DFT-relaxed cell (PBE, Alexandria).
Intensities are scaled so that the largest is 100.

Largest 8 diffraction maxima, sorted by position, 2θ from 5° to 70°:
22.90°, I 69; 32.61°, I 100; 35.28°, I 81; 35.90°, I 55; 43.34°, I 31; 48.80°, I 31; 57.49°, I 38; 65.72°, I 22

Structure:
Cell: 5.682 5.682 7.767 Å, 90.00 90.00 136.89°
Atoms (fractional coordinates):
Ac 0.060 0.940 0.750
Ac 0.940 0.060 0.250
Zn 0.336 0.664 0.554
Zn 0.336 0.664 0.946
Zn 0.664 0.336 0.054
Zn 0.664 0.336 0.446
Rh 0.215 0.785 0.250
Rh 0.785 0.215 0.750

=====

This entry pairs a crystal structure of Ac2Zn2Rh3 with its computed X-ray powder pattern. Radiation: λ = 1.5418 Å (Cu Kα). Structure: a DFT-relaxed cell (PBE, Alexandria).
Intensities are scaled so that the largest is 100.

Largest 8 diffraction maxima, sorted by position, 2θ from 5° to 70°:
23.99°, I 15; 30.72°, I 19; 32.22°, I 78; 33.74°, I 100; 41.16°, I 33; 42.04°, I 30; 46.59°, I 16; 60.29°, I 21

Structure:
Cell: 9.731 9.731 7.419 Å, 90.00 90.00 154.48°
Atoms (fractional coordinates):
Ac 0.062 0.938 0.750
Ac 0.152 0.848 0.250
Ac 0.848 0.152 0.750
Ac 0.938 0.062 0.250
Zn 0.309 0.691 0.064
Zn 0.309 0.691 0.436
Zn 0.691 0.309 0.564
Zn 0.691 0.309 0.936
Rh 0.229 0.771 0.750
Rh 0.438 0.562 0.570
Rh 0.438 0.562 0.930
Rh 0.562 0.438 0.070
Rh 0.562 0.438 0.430
Rh 0.771 0.229 0.250

=====

This entry pairs a crystal structure of AcZn9Rh2 with its computed X-ray powder pattern. Radiation: λ = 1.5418 Å (Cu Kα). Structure: a DFT-relaxed cell (PBE, Alexandria).
Intensities are scaled so that the largest is 100.

Largest 8 diffraction maxima, sorted by position, 2θ from 5° to 70°:
21.50°, I 50; 32.12°, I 89; 33.10°, I 34; 34.54°, I 100; 43.80°, I 70; 44.94°, I 56; 48.25°, I 28; 67.19°, I 38

Structure:
Cell: 8.268 8.268 3.773 Å, 90.00 90.00 120.00°
Atoms (fractional coordinates):
Ac 0.000 0.000 0.000
Zn 0.000 0.500 0.000
Zn 0.203 0.406 0.500
Zn 0.203 0.797 0.500
Zn 0.406 0.203 0.500
Zn 0.500 0.000 0.000
Zn 0.500 0.500 0.000
Zn 0.594 0.797 0.500
Zn 0.797 0.203 0.500
Zn 0.797 0.594 0.500
Rh 0.333 0.667 0.000
Rh 0.667 0.333 0.000

=====

This entry pairs a crystal structure of AcSb3Ru with its computed X-ray powder pattern. Radiation: λ = 1.5418 Å (Cu Kα). Structure: a DFT-relaxed cell (PBE, Alexandria).
Intensities are scaled so that the largest is 100.

Largest 8 diffraction maxima, sorted by position, 2θ from 5° to 70°:
27.98°, I 37; 29.90°, I 27; 31.53°, I 26; 31.96°, I 83; 33.11°, I 100; 41.41°, I 49; 59.64°, I 24; 64.00°, I 22

Structure:
Cell: 6.809 6.235 6.378 Å, 90.00 90.00 90.00°
Atoms (fractional coordinates):
Ac 0.000 0.134 0.000
Ac 0.500 0.866 0.500
Sb 0.000 0.897 0.534
Sb 0.239 0.339 0.453
Sb 0.261 0.661 0.953
Sb 0.500 0.103 0.034
Sb 0.739 0.661 0.953
Sb 0.761 0.339 0.453
Ru 0.000 0.603 0.250
Ru 0.500 0.397 0.750

=====

This entry pairs a crystal structure of Ac8SiRu2 with its computed X-ray powder pattern. Radiation: λ = 1.5418 Å (Cu Kα). Structure: a DFT-relaxed cell (PBE, Alexandria).
Intensities are scaled so that the largest is 100.

Largest 8 diffraction maxima, sorted by position, 2θ from 5° to 70°:
24.98°, I 41; 25.18°, I 41; 25.96°, I 77; 29.09°, I 100; 30.47°, I 42; 40.45°, I 19; 42.51°, I 32; 42.75°, I 51

Structure:
Cell: 8.523 8.523 7.342 Å, 103.43 103.43 59.53°
Atoms (fractional coordinates):
Ac 0.116 0.116 0.254
Ac 0.124 0.606 0.233
Ac 0.365 0.365 0.753
Ac 0.394 0.876 0.767
Ac 0.606 0.124 0.233
Ac 0.635 0.635 0.247
Ac 0.876 0.394 0.767
Ac 0.884 0.884 0.746
Si 0.500 0.500 0.500
Ru 0.236 0.236 0.021
Ru 0.764 0.764 0.979

=====

This entry pairs a crystal structure of Ac6Sn3Ru2 with its computed X-ray powder pattern. Radiation: λ = 1.5418 Å (Cu Kα). Structure: a DFT-relaxed cell (PBE, Alexandria).
Intensities are scaled so that the largest is 100.

Largest 8 diffraction maxima, sorted by position, 2θ from 5° to 70°:
13.57°, I 20; 23.63°, I 67; 28.82°, I 29; 30.64°, I 88; 32.19°, I 100; 46.16°, I 37; 47.78°, I 40; 56.43°, I 34

Structure:
Cell: 13.632 13.632 13.632 Å, 156.46 156.46 33.54°
Atoms (fractional coordinates):
Ac 0.084 0.584 0.500
Ac 0.201 0.201 0.000
Ac 0.416 0.916 0.500
Ac 0.584 0.084 0.500
Ac 0.799 0.799 0.000
Ac 0.916 0.416 0.500
Sn 0.327 0.327 0.000
Sn 0.500 0.500 0.000
Sn 0.673 0.673 0.000
Ru 0.099 0.099 0.000
Ru 0.901 0.901 0.000

=====

This entry pairs a crystal structure of Ac3Sn2Ru2 with its computed X-ray powder pattern. Radiation: λ = 1.5418 Å (Cu Kα). Structure: a DFT-relaxed cell (PBE, Alexandria).
Intensities are scaled so that the largest is 100.

Largest 8 diffraction maxima, sorted by position, 2θ from 5° to 70°:
23.51°, I 22; 28.32°, I 100; 30.27°, I 43; 32.82°, I 46; 38.09°, I 55; 47.32°, I 17; 49.37°, I 22; 54.97°, I 20

Structure:
Cell: 10.033 10.033 10.033 Å, 152.79 152.73 38.90°
Atoms (fractional coordinates):
Ac 0.000 0.000 0.000
Ac 0.325 0.825 0.500
Ac 0.675 0.175 0.500
Sn 0.136 0.636 0.500
Sn 0.864 0.364 0.500
Ru 0.438 0.438 0.000
Ru 0.562 0.562 0.000

=====

This entry pairs a crystal structure of Ac7Sn2Ru2 with its computed X-ray powder pattern. Radiation: λ = 1.5418 Å (Cu Kα). Structure: a DFT-relaxed cell (PBE, Alexandria).
Intensities are scaled so that the largest is 100.

Largest 8 diffraction maxima, sorted by position, 2θ from 5° to 70°:
23.69°, I 23; 25.20°, I 91; 26.77°, I 52; 27.77°, I 25; 29.20°, I 70; 33.99°, I 57; 34.77°, I 100; 55.16°, I 22

Structure:
Cell: 7.493 7.493 7.551 Å, 90.00 90.00 109.42°
Atoms (fractional coordinates):
Ac 0.000 0.000 0.000
Ac 0.000 0.500 0.252
Ac 0.000 0.500 0.748
Ac 0.500 0.000 0.252
Ac 0.500 0.000 0.748
Ac 0.500 0.500 0.243
Ac 0.500 0.500 0.757
Sn 0.166 0.166 0.500
Sn 0.834 0.834 0.500
Ru 0.299 0.701 0.000
Ru 0.701 0.299 0.000

=====

This entry pairs a crystal structure of AcSn3Ru2 with its computed X-ray powder pattern. Radiation: λ = 1.5418 Å (Cu Kα). Structure: a DFT-relaxed cell (PBE, Alexandria).
Intensities are scaled so that the largest is 100.

Largest 8 diffraction maxima, sorted by position, 2θ from 5° to 70°:
29.23°, I 78; 31.46°, I 69; 32.62°, I 27; 35.72°, I 52; 36.09°, I 100; 39.53°, I 65; 54.32°, I 32; 66.55°, I 26

Structure:
Cell: 8.437 8.437 8.296 Å, 110.95 110.95 31.36°
Atoms (fractional coordinates):
Ac 0.148 0.148 0.096
Ac 0.852 0.852 0.904
Sn 0.011 0.011 0.332
Sn 0.324 0.324 0.572
Sn 0.367 0.367 0.230
Sn 0.633 0.633 0.770
Sn 0.676 0.676 0.428
Sn 0.989 0.989 0.668
Ru 0.163 0.163 0.618
Ru 0.486 0.486 0.849
Ru 0.514 0.514 0.151
Ru 0.837 0.837 0.382

=====

This entry pairs a crystal structure of AcTbSnRu with its computed X-ray powder pattern. Radiation: λ = 1.5418 Å (Cu Kα). Structure: a DFT-relaxed cell (PBE, Alexandria).
Intensities are scaled so that the largest is 100.

Largest 8 diffraction maxima, sorted by position, 2θ from 5° to 70°:
20.43°, I 2; 23.63°, I 8; 33.67°, I 100; 39.70°, I 2; 41.55°, I 2; 48.35°, I 18; 54.50°, I 3; 60.21°, I 38

Structure:
Cell: 5.324 5.324 5.324 Å, 60.00 60.00 60.00°
Atoms (fractional coordinates):
Ac 0.000 0.000 0.000
Tb 0.500 0.500 0.500
Sn 0.250 0.250 0.250
Ru 0.750 0.750 0.750